Computed PXRD pattern
Compound: Ho2Fe2B4Ir3
Radiation: copper Kα
Structure: a cell relaxed with PBE
Intensities are scaled so that the largest is 100.

Principal peaks in the range 2θ from 10° to 90°, in order of falling intensity:
2θ (°), I (rel.)
38.59, 100
30.36, 80
37.72, 53
24.35, 51
40.68, 42
36.78, 41
46.60, 24
78.78, 22
68.67, 20
61.44, 18

Atomic structure:
```
11
Lattice="0.0000 4.7701 5.6916 2.6748 0.0000 5.6916 2.6748 4.7701 0.0000" Properties=species:S:1:pos:R:3 pbc="T T T"
Ho 2.6748 4.7701 1.5740
Ho 2.6748 4.7701 9.8092
Fe 1.3374 2.3851 0.0000
Fe 1.3374 2.3851 5.6916
B 2.6748 3.1864 4.2763
B 2.6748 3.1864 7.1069
B 2.6748 6.3539 4.2763
B 2.6748 6.3539 7.1069
Ir 1.3374 2.3851 2.8458
Ir 2.6748 4.7701 5.6916
Ir 4.0122 7.1552 8.5374
```